Theoretical powder diffraction line list of Ba8IrPd3 for λ = 1.5418 Å (Cu Kα), from a DFT-relaxed cell (PBE, Alexandria).
Kinematic intensities with the Lorentz-polarization factor, no thermal factor.

Structural model:
Unit cell a=9.107 b=13.197 c=9.189 alpha=90.00 beta=90.00 gamma=90.00
Space group C222 (No. 21)
Inequivalent atoms, fractional coordinates:
Ba  0.000  0.233  0.000 x4
Ba  0.000  0.242  0.500 x4
Ba  0.235  0.008  0.241 x8
Ir  0.000  0.000  0.000 x2
Pd  0.000  0.000  0.500 x2
Pd  0.250  0.250  0.254 x4

Peak list (12 most intense, 10° ≤ 2θ ≤ 90°, low angle first)
hkl 1 1 0, 2θ = 11.81°, d = 7.496 Å, I 44; hkl 1 1 1, 2θ = 15.25°, d = 5.808 Å, I 23; hkl 0 2 2, 2θ = 23.60°, d = 3.770 Å, I 17; hkl 2 2 0, 2θ = 23.74°, d = 3.748 Å, I 16; hkl 0 4 0, 2θ = 27.03°, d = 3.299 Å, I 51; hkl 2 0 2, 2θ = 27.58°, d = 3.234 Å, I 100; hkl 2 4 2, 2θ = 39.00°, d = 2.310 Å, I 75; hkl 0 0 4, 2θ = 39.22°, d = 2.297 Å, I 19; hkl 4 0 0, 2θ = 39.58°, d = 2.277 Å, I 18; hkl 0 4 4, 2θ = 48.27°, d = 1.885 Å, I 20; hkl 4 4 0, 2θ = 48.58°, d = 1.874 Å, I 19; hkl 2 0 6, 2θ = 64.14°, d = 1.452 Å, I 25

Theoretical powder diffraction line list of LaP3Pd10 for λ = 1.5418 Å (Cu Kα), from a DFT-relaxed cell (PBE, Alexandria).
Kinematic intensities with the Lorentz-polarization factor, no thermal factor.

Structural model:
Unit cell a=12.274 b=12.274 c=12.274 alpha=90.00 beta=90.00 gamma=90.00
Space group Fm-3m (No. 225)
Inequivalent atoms, fractional coordinates:
La  0.250  0.250  0.250 x8
P  0.000  0.000  0.241 x24
Pd  0.000  0.172  0.328 x48
Pd  0.114  0.114  0.114 x32

Peak list (12 most intense, 10° ≤ 2θ ≤ 90°, low angle first)
hkl 4 2 0, 2θ = 32.63°, d = 2.744 Å, I 48; hkl 4 2 2, 2θ = 35.84°, d = 2.505 Å, I 23; hkl 3 3 3, 2θ = 38.10°, d = 2.362 Å, I 100; hkl 4 4 0, 2θ = 41.63°, d = 2.170 Å, I 29; hkl 5 3 1, 2θ = 43.63°, d = 2.075 Å, I 48; hkl 6 2 2, 2θ = 49.25°, d = 1.850 Å, I 23; hkl 6 4 4, 2θ = 62.39°, d = 1.488 Å, I 16; hkl 6 6 0, 2θ = 64.41°, d = 1.446 Å, I 29; hkl 5 5 5, 2θ = 65.91°, d = 1.417 Å, I 12; hkl 9 1 1, 2θ = 69.81°, d = 1.347 Å, I 13; hkl 8 4 4, 2θ = 75.97°, d = 1.253 Å, I 19; hkl 9 3 3, 2θ = 77.36°, d = 1.234 Å, I 9

Theoretical powder diffraction line list of KCaAs2Pd4 for λ = 1.5418 Å (Cu Kα), from a DFT-relaxed cell (PBE, Alexandria).
Kinematic intensities with the Lorentz-polarization factor, no thermal factor.

Structural model:
Unit cell a=4.175 b=4.175 c=10.808 alpha=90.00 beta=90.00 gamma=90.00
Space group P4/mmm (No. 123)
Inequivalent atoms, fractional coordinates:
K  0.000  0.000  0.000 x1
Ca  0.000  0.000  0.500 x1
As  0.500  0.500  0.184 x2
Pd  0.000  0.500  0.298 x4

Peak list (12 most intense, 10° ≤ 2θ ≤ 90°, low angle first)
hkl 0 0 2, 2θ = 16.40°, d = 5.404 Å, I 100; hkl 1 0 2, 2θ = 26.99°, d = 3.304 Å, I 30; hkl 1 1 0, 2θ = 30.27°, d = 2.952 Å, I 12; hkl 1 1 1, 2θ = 31.41°, d = 2.848 Å, I 21; hkl 1 1 2, 2θ = 34.62°, d = 2.591 Å, I 50; hkl 1 1 3, 2θ = 39.46°, d = 2.284 Å, I 73; hkl 2 0 0, 2θ = 43.34°, d = 2.088 Å, I 52; hkl 2 0 2, 2θ = 46.64°, d = 1.947 Å, I 27; hkl 1 1 5, 2θ = 52.46°, d = 1.744 Å, I 42; hkl 2 2 0, 2θ = 62.96°, d = 1.476 Å, I 17; hkl 3 1 3, 2θ = 76.90°, d = 1.240 Å, I 20; hkl 3 1 5, 2θ = 86.34°, d = 1.127 Å, I 20

Theoretical powder diffraction line list of Zn3InSe4 for λ = 1.5418 Å (Cu Kα), from a DFT-relaxed cell (PBE, Alexandria).
Kinematic intensities with the Lorentz-polarization factor, no thermal factor.

Structural model:
Unit cell a=4.1146 b=4.1146 c=42.6800 alpha=90.00 beta=90.00 gamma=120.00
Space group R3m (No. 160, hexagonal axes)
Inequivalent atoms, fractional coordinates:
Zn  0.0000  0.0000  0.0000 x3
Zn  0.0000  0.0000  0.2563 x3
Zn  0.0000  0.0000  0.5128 x3
In  0.0000  0.0000  0.7544 x3
Se  0.0000  0.0000  0.1977 x3
Se  0.0000  0.0000  0.4538 x3
Se  0.0000  0.0000  0.6860 x3
Se  0.0000  0.0000  0.9416 x3

Peak list (12 most intense, 10° ≤ 2θ ≤ 90°, low angle first)
hkl 0 0 12, 2θ = 25.04°, d = 3.556 Å, I 29; hkl 1 0 4, 2θ = 26.37°, d = 3.380 Å, I 100; hkl 1 0 13, 2θ = 37.24°, d = 2.414 Å, I 6; hkl 1 0 16, 2θ = 42.32°, d = 2.135 Å, I 39; hkl 1 1 0, 2θ = 44.01°, d = 2.057 Å, I 48; hkl 0 1 20, 2θ = 49.81°, d = 1.831 Å, I 12; hkl 1 1 12, 2θ = 51.30°, d = 1.781 Å, I 23; hkl 0 2 4, 2θ = 52.04°, d = 1.757 Å, I 15; hkl 0 2 16, 2θ = 62.71°, d = 1.482 Å, I 12; hkl 2 1 4, 2θ = 70.47°, d = 1.336 Å, I 12; hkl 2 1 16, 2θ = 79.77°, d = 1.202 Å, I 12; hkl 3 0 0, 2θ = 80.95°, d = 1.188 Å, I 9

Theoretical powder diffraction line list of ScCrSi2S for λ = 1.5418 Å (Cu Kα), from a DFT-relaxed cell (PBE, Alexandria).
Kinematic intensities with the Lorentz-polarization factor, no thermal factor.

Structural model:
Unit cell a=4.344 b=4.344 c=4.926 alpha=90.00 beta=90.00 gamma=90.00
Space group P4/mmm (No. 123)
Inequivalent atoms, fractional coordinates:
Sc  0.000  0.000  0.000 x1
Cr  0.500  0.500  0.500 x1
Si  0.000  0.500  0.500 x2
S  0.500  0.500  0.000 x1

Peak list (12 most intense, 10° ≤ 2θ ≤ 90°, low angle first)
hkl 0 0 1, 2θ = 18.01°, d = 4.926 Å, I 15; hkl 1 0 0, 2θ = 20.45°, d = 4.344 Å, I 37; hkl 1 0 1, 2θ = 27.37°, d = 3.258 Å, I 79; hkl 1 1 0, 2θ = 29.07°, d = 3.071 Å, I 44; hkl 1 1 1, 2θ = 34.41°, d = 2.606 Å, I 65; hkl 0 0 2, 2θ = 36.48°, d = 2.463 Å, I 75; hkl 2 0 0, 2θ = 41.58°, d = 2.172 Å, I 100; hkl 1 1 2, 2θ = 47.30°, d = 1.922 Å, I 20; hkl 2 1 1, 2θ = 50.50°, d = 1.807 Å, I 26; hkl 2 0 2, 2θ = 56.49°, d = 1.629 Å, I 75; hkl 2 2 0, 2θ = 60.26°, d = 1.536 Å, I 38; hkl 2 2 2, 2θ = 72.54°, d = 1.303 Å, I 34

Theoretical powder diffraction line list of BeZnH2S for λ = 1.5418 Å (Cu Kα), from a DFT-relaxed cell (PBE, Alexandria).
Kinematic intensities with the Lorentz-polarization factor, no thermal factor.

Structural model:
Unit cell a=3.3629 b=3.3629 c=18.5946 alpha=90.00 beta=90.00 gamma=120.00
Space group R3m (No. 160, hexagonal axes)
Inequivalent atoms, fractional coordinates:
Be  0.0000  0.0000  0.0000 x3
Zn  0.0000  0.0000  0.8315 x3
H  0.0000  0.0000  0.4991 x3
H  0.0000  0.0000  0.9212 x3
S  0.0000  0.0000  0.7035 x3

Peak list (12 most intense, 10° ≤ 2θ ≤ 90°, low angle first)
hkl 0 0 3, 2θ = 14.29°, d = 6.198 Å, I 41; hkl 0 0 6, 2θ = 28.81°, d = 3.099 Å, I 32; hkl 1 0 1, 2θ = 31.08°, d = 2.877 Å, I 100; hkl 0 1 2, 2θ = 32.21°, d = 2.779 Å, I 46; hkl 0 1 5, 2θ = 39.29°, d = 2.293 Å, I 17; hkl 0 0 9, 2θ = 43.82°, d = 2.066 Å, I 10; hkl 1 0 7, 2θ = 46.26°, d = 1.963 Å, I 32; hkl 0 1 8, 2θ = 50.22°, d = 1.817 Å, I 24; hkl 1 1 0, 2θ = 54.58°, d = 1.681 Å, I 23; hkl 1 1 6, 2θ = 62.88°, d = 1.478 Å, I 18; hkl 0 2 1, 2θ = 64.15°, d = 1.452 Å, I 11; hkl 1 1 9, 2θ = 72.48°, d = 1.304 Å, I 12

Theoretical powder diffraction line list of H3Rh for λ = 1.5418 Å (Cu Kα), from a DFT-relaxed cell (PBE, Alexandria).
Kinematic intensities with the Lorentz-polarization factor, no thermal factor.

Structural model:
Unit cell a=5.091 b=2.891 c=3.561 alpha=90.00 beta=90.44 gamma=90.00
Space group C2/m (No. 12)
Inequivalent atoms, fractional coordinates:
H  0.000  0.000  0.000 x2
H  0.172  0.500  0.701 x4
Rh  0.000  0.000  0.500 x2

Peak list (12 most intense, 10° ≤ 2θ ≤ 90°, low angle first)
hkl 0 0 1, 2θ = 25.01°, d = 3.561 Å, I 100; hkl 2 0 0, 2θ = 35.26°, d = 2.546 Å, I 41; hkl 1 1 0, 2θ = 35.72°, d = 2.514 Å, I 79; hkl 2 0 -1, 2θ = 43.54°, d = 2.078 Å, I 23; hkl 2 0 1, 2θ = 43.88°, d = 2.063 Å, I 20; hkl 1 1 -1, 2θ = 44.01°, d = 2.057 Å, I 41; hkl 1 1 1, 2θ = 44.18°, d = 2.050 Å, I 43; hkl 0 0 2, 2θ = 51.31°, d = 1.780 Å, I 14; hkl 3 1 0, 2θ = 63.56°, d = 1.464 Å, I 22; hkl 2 0 2, 2θ = 63.99°, d = 1.455 Å, I 21; hkl 1 1 2, 2θ = 64.22°, d = 1.450 Å, I 14; hkl 3 1 -1, 2θ = 69.25°, d = 1.357 Å, I 11

Theoretical powder diffraction line list of LaBr3O for λ = 1.5418 Å (Cu Kα), from a DFT-relaxed cell (PBE, Alexandria).
Kinematic intensities with the Lorentz-polarization factor, no thermal factor.

Structural model:
Unit cell a=5.869 b=5.869 c=5.869 alpha=90.00 beta=90.00 gamma=90.00
Space group Pm-3m (No. 221)
Inequivalent atoms, fractional coordinates:
La  0.000  0.000  0.000 x1
Br  0.000  0.000  0.500 x3
O  0.500  0.500  0.500 x1

Peak list (12 most intense, 10° ≤ 2θ ≤ 90°, low angle first)
hkl 1 0 0, 2θ = 15.10°, d = 5.869 Å, I 100; hkl 1 1 1, 2θ = 26.30°, d = 3.389 Å, I 15; hkl 2 0 0, 2θ = 30.46°, d = 2.935 Å, I 73; hkl 2 1 0, 2θ = 34.16°, d = 2.625 Å, I 55; hkl 2 2 0, 2θ = 43.62°, d = 2.075 Å, I 53; hkl 3 0 0, 2θ = 46.41°, d = 1.956 Å, I 29; hkl 2 2 2, 2θ = 54.13°, d = 1.694 Å, I 18; hkl 3 2 0, 2θ = 56.54°, d = 1.628 Å, I 13; hkl 4 1 0, 2θ = 65.58°, d = 1.423 Å, I 17; hkl 4 2 0, 2θ = 71.95°, d = 1.312 Å, I 23; hkl 4 2 1, 2θ = 74.02°, d = 1.281 Å, I 12; hkl 4 2 2, 2θ = 80.10°, d = 1.198 Å, I 17